Si: calculated powder XRD pattern (copper Kα), based on a cell relaxed with PBE.

Structure:
Lattice parameters (Å, degrees): 2.6495 2.6495 2.4769 90.00 90.00 120.00
Space group P6/mmm (No. 191)
Symmetry-distinct sites (fractional):
1 Si 0.0000 0.0000 0.0000 (multiplicity 1)

Principal peaks in the range 2θ from 15° to 90°, in order of rising 2θ:
h k l, d_spacing, 2theta, Rel. int.
0 0 1, 2.477, 36.27, 42
1 0 0, 2.295, 39.26, 100
1 0 1, 1.683, 54.51, 74
1 1 0, 1.325, 71.17, 17
0 0 2, 1.238, 77.00, 5
1 1 1, 1.168, 82.59, 23
2 0 0, 1.147, 84.44, 11



Li3ZrO3: calculated powder XRD pattern (copper Kα), based on a cell relaxed with PBE.

Structure:
Lattice parameters (Å, degrees): 9.6439 9.6439 3.4996 90.00 90.00 90.00
Space group P4_2/mnm (No. 136)
Symmetry-distinct sites (fractional):
1 Li 0.0861 0.3542 0.0000 (multiplicity 8)
2 Li 0.1734 0.1734 0.5000 (multiplicity 4)
3 Zr 0.1194 0.8806 0.0000 (multiplicity 4)
4 O 0.1055 0.1055 0.0000 (multiplicity 4)
5 O 0.1157 0.6708 0.0000 (multiplicity 8)

Principal peaks in the range 2θ from 15° to 90°, in order of rising 2θ:
h k l, d_spacing, 2theta, Rel. int.
2 1 0, 4.313, 20.59, 77
1 0 1, 3.290, 27.11, 100
1 1 1, 3.114, 28.67, 38
3 2 0, 2.675, 33.50, 18
2 2 1, 2.442, 36.80, 23
4 0 0, 2.411, 37.30, 55
3 1 1, 2.299, 39.18, 21
4 1 1, 1.945, 46.71, 35
4 4 0, 1.705, 53.77, 14
5 0 1, 1.689, 54.31, 35
4 0 2, 1.416, 65.96, 17
5 4 1, 1.383, 67.73, 20



LiZn3: calculated powder XRD pattern (copper Kα), based on a cell relaxed with PBE.

Structure:
Lattice parameters (Å, degrees): 2.7982 2.7982 8.8269 90.00 90.00 120.00
Space group P-6m2 (No. 187)
Symmetry-distinct sites (fractional):
1 Li 0.0000 0.0000 0.0000 (multiplicity 1)
2 Zn 0.0000 0.0000 0.5000 (multiplicity 1)
3 Zn 0.6667 0.3333 0.2494 (multiplicity 2)

Principal peaks in the range 2θ from 15° to 90°, in order of rising 2θ:
h k l, d_spacing, 2theta, Rel. int.
0 0 2, 4.413, 20.12, 14
0 0 3, 2.942, 30.38, 5
1 0 0, 2.423, 37.10, 31
1 0 1, 2.337, 38.53, 16
0 0 4, 2.207, 40.89, 24
1 0 2, 2.124, 42.56, 100
1 0 3, 1.871, 48.68, 8
1 0 4, 1.632, 56.39, 17
1 1 0, 1.399, 66.87, 16
1 0 6, 1.258, 75.62, 16
1 1 4, 1.182, 81.45, 17
2 0 2, 1.168, 82.57, 13